[1]
Diffraction record for Ni7Te6Cl2O18. The powder diffractogram is theoretical, not measured: it uses a structure optimized by DFT (PBE+U) and copper Kα.

The 10 most intense peaks (10° ≤ 2θ ≤ 90°), by angle:
d [Å], intensity, h k l
7.948, 65, 1 0 1
3.974, 64, 2 0 2
3.570, 40, 3 -1 1
3.540, 54, 1 1 3
3.251, 55, 1 2 2
2.795, 64, 0 2 4
2.662, 100, 4 -3 1
2.399, 29, 4 -2 3
1.933, 35, 5 -1 3
1.567, 33, 2 5 0

Structural model:
```
data_Ni7Te6Cl2O18
_symmetry_space_group_name_H-M 'R -3'
_symmetry_Int_Tables_number 148
_symmetry_space_group_name_Hall '-R 3'
_cell_length_a 11.3005
_cell_length_b 11.3005
_cell_length_c 13.6235
_cell_angle_alpha 90.00
_cell_angle_beta 90.00
_cell_angle_gamma 120.00
loop_
_atom_site_label
_atom_site_type_symbol
_atom_site_fract_x
_atom_site_fract_y
_atom_site_fract_z
_atom_site_occupancy
Ni1 Ni 0.0000 0.0000 0.0000 1
Ni2 Ni 0.0567 0.1924 0.8234 1
Te1 Te 0.0256 0.5634 0.2684 1
Cl1 Cl 0.0000 0.0000 0.2955 1
O1 O 0.0096 0.5688 0.4076 1
O2 O 0.0160 0.6103 0.9114 1
O3 O 0.0486 0.1631 0.0966 1
```



[2]
Diffraction record for VP2Cl7O4. The powder diffractogram is theoretical, not measured: it uses a structure optimized by DFT (PBE+U) and copper Kα.

The 10 most intense peaks (10° ≤ 2θ ≤ 90°), by angle:
d [Å], intensity, h k l
8.203, 81, 0 1 0
7.842, 49, 1 0 0
6.712, 59, 1 -1 0
4.157, 100, 1 1 1
4.092, 60, 1 1 -2
4.015, 41, 2 0 -1
3.037, 46, 1 2 -2
2.937, 39, -2 1 3
2.669, 53, 2 -2 2
2.582, 39, -2 2 3

Structural model:
```
data_VP2Cl7O4
_symmetry_space_group_name_H-M 'P -1'
_symmetry_Int_Tables_number 2
_symmetry_space_group_name_Hall '-P 1'
_cell_length_a 8.413
_cell_length_b 8.569
_cell_length_c 10.748
_cell_angle_alpha 92.05
_cell_angle_beta 103.31
_cell_angle_gamma 105.71
loop_
_atom_site_label
_atom_site_type_symbol
_atom_site_fract_x
_atom_site_fract_y
_atom_site_fract_z
_atom_site_occupancy
V1 V 0.102 0.152 0.308 1
P1 P 0.165 0.854 0.498 1
P2 P 0.293 0.246 0.815 1
Cl1 Cl 0.075 0.751 0.837 1
Cl2 Cl 0.141 0.669 0.369 1
Cl3 Cl 0.176 0.019 0.159 1
Cl4 Cl 0.217 0.367 0.942 1
Cl5 Cl 0.385 0.870 0.625 1
Cl6 Cl 0.393 0.415 0.709 1
Cl7 Cl 0.493 0.187 0.919 1
O1 O 0.019 0.803 0.561 1
O2 O 0.158 0.106 0.737 1
O3 O 0.188 0.011 0.436 1
O4 O 0.264 0.310 0.347 1
```



[3]
Diffraction record for VPbClO3. The powder diffractogram is theoretical, not measured: it uses a structure optimized by DFT (PBE+U) and copper Kα.

The 10 most intense peaks (10° ≤ 2θ ≤ 90°), by angle:
d [Å], intensity, h k l
4.323, 43, 0 1 1
4.283, 41, 2 0 1
4.001, 62, 1 1 1
3.763, 100, 2 1 0
3.455, 49, 1 0 2
3.174, 80, 3 0 1
2.904, 82, 1 1 2
2.680, 45, 0 2 0
2.293, 49, 3 1 2
2.047, 60, 3 2 1

Structural model:
```
data_VPbClO3
_symmetry_space_group_name_H-M 'P n m a'
_symmetry_Int_Tables_number 62
_symmetry_space_group_name_Hall '-P 2ac 2n'
_cell_length_a 10.570
_cell_length_b 5.359
_cell_length_c 7.312
_cell_angle_alpha 90.00
_cell_angle_beta 90.00
_cell_angle_gamma 90.00
loop_
_atom_site_label
_atom_site_type_symbol
_atom_site_fract_x
_atom_site_fract_y
_atom_site_fract_z
_atom_site_occupancy
V1 V 0.028 0.250 0.067 1
Pb1 Pb 0.158 0.250 0.611 1
Cl1 Cl 0.105 0.750 0.449 1
O1 O 0.085 0.008 0.887 1
O2 O 0.135 0.250 0.230 1
```



[4]
Diffraction record for Pr3WCl3O6. The powder diffractogram is theoretical, not measured: it uses a structure optimized by DFT (PBE+U) and copper Kα.

The 10 most intense peaks (10° ≤ 2θ ≤ 90°), by angle:
d [Å], intensity, h k l
8.167, 55, 1 0 0
3.565, 54, 1 1 1
3.267, 59, 2 0 1
3.087, 34, 2 1 0
2.723, 48, 0 0 2
2.685, 100, 2 1 1
2.042, 46, 2 1 2
1.925, 21, 3 0 2
1.772, 34, 2 3 1
1.565, 21, 2 1 3

Structural model:
```
data_Pr3WCl3O6
_symmetry_space_group_name_H-M 'P 63/m'
_symmetry_Int_Tables_number 176
_symmetry_space_group_name_Hall '-P 6c'
_cell_length_a 9.4300
_cell_length_b 9.4300
_cell_length_c 5.4459
_cell_angle_alpha 90.00
_cell_angle_beta 90.00
_cell_angle_gamma 120.00
loop_
_atom_site_label
_atom_site_type_symbol
_atom_site_fract_x
_atom_site_fract_y
_atom_site_fract_z
_atom_site_occupancy
Pr1 Pr 0.0904 0.4045 0.2500 1
W1 W 0.3333 0.6667 0.7500 1
Cl1 Cl 0.0481 0.2405 0.7500 1
O1 O 0.1602 0.6360 0.5187 1
```